(1)
Simulated X-ray powder pattern of Ba5PbO8 for λ = 1.5418 Å (Cu Kα), from a DFT-relaxed cell (GGA-PBE, Alexandria).

Principal peaks in the range 10° ≤ 2θ ≤ 90°, in order of rising 2θ:
d_spacing, I_rel
3.405, 59
3.278, 100
2.688, 36
2.527, 30
2.508, 22
2.165, 21
1.885, 19
1.774, 15
1.743, 22
1.560, 15

Crystal structure
Lattice parameters (Å, degrees): 7.058 7.058 7.058 111.62 111.62 105.25
Positions (direct):
Ba  0.000  0.000  0.000
Ba  0.125  0.513  0.873
Ba  0.487  0.360  0.612
Ba  0.640  0.252  0.127
Ba  0.748  0.875  0.388
Pb  0.250  0.750  0.500
O  0.005  0.244  0.398
O  0.240  0.063  0.710
O  0.352  0.529  0.290
O  0.393  0.995  0.240
O  0.471  0.760  0.823
O  0.756  0.154  0.760
O  0.846  0.607  0.602
O  0.937  0.648  0.177

=====

(2)
Simulated X-ray powder pattern of Ba4PbO6 for λ = 1.5418 Å (Cu Kα), from a DFT-relaxed cell (GGA-PBE, Alexandria).

Principal peaks in the range 10° ≤ 2θ ≤ 90°, in order of rising 2θ:
d_spacing, I_rel
5.329, 30
3.366, 48
3.078, 100
2.661, 26
2.381, 36
2.272, 24
2.014, 13
1.828, 13
1.777, 36
1.539, 15

Crystal structure
Lattice parameters (Å, degrees): 7.534 7.534 7.534 90.13 90.13 90.13
Positions (direct):
Ba  0.111  0.750  0.389
Ba  0.250  0.250  0.250
Ba  0.250  0.611  0.889
Ba  0.389  0.111  0.750
Ba  0.611  0.889  0.250
Ba  0.750  0.389  0.111
Ba  0.750  0.750  0.750
Ba  0.889  0.250  0.611
Pb  0.000  0.000  0.000
Pb  0.500  0.500  0.500
O  0.058  0.924  0.714
O  0.076  0.286  0.942
O  0.214  0.424  0.558
O  0.286  0.942  0.076
O  0.424  0.558  0.214
O  0.442  0.786  0.576
O  0.558  0.214  0.424
O  0.576  0.442  0.786
O  0.714  0.058  0.924
O  0.786  0.576  0.442
O  0.924  0.714  0.058
O  0.942  0.076  0.286

=====

(3)
Simulated X-ray powder pattern of BaPb3O4 for λ = 1.5418 Å (Cu Kα), from a DFT-relaxed cell (GGA-PBE, Alexandria).

Principal peaks in the range 10° ≤ 2θ ≤ 90°, in order of rising 2θ:
d_spacing, I_rel
3.483, 22
3.168, 24
3.052, 100
2.343, 20
2.011, 22
1.806, 23
1.698, 26
1.679, 17
1.289, 14
1.244, 9

Crystal structure
Lattice parameters (Å, degrees): 8.043 8.043 6.336 90.00 90.00 120.00
Positions (direct):
Ba  0.333  0.667  0.250
Ba  0.667  0.333  0.750
Pb  0.163  0.347  0.750
Pb  0.184  0.837  0.750
Pb  0.347  0.163  0.250
Pb  0.653  0.816  0.750
Pb  0.816  0.653  0.250
Pb  0.837  0.184  0.250
O  0.000  0.398  0.000
O  0.000  0.398  0.500
O  0.333  0.667  0.750
O  0.398  0.000  0.000
O  0.398  0.000  0.500
O  0.602  0.602  0.000
O  0.602  0.602  0.500
O  0.667  0.333  0.250

=====

(4)
Simulated X-ray powder pattern of Ba9Pb3O2 for λ = 1.5418 Å (Cu Kα), from a DFT-relaxed cell (GGA-PBE, Alexandria).

Principal peaks in the range 10° ≤ 2θ ≤ 90°, in order of rising 2θ:
d_spacing, I_rel
3.966, 5
3.238, 100
2.804, 55
1.983, 40
1.691, 45
1.619, 14
1.402, 6
1.287, 18
1.254, 18
1.145, 14

Crystal structure
Lattice parameters (Å, degrees): 7.930 7.930 9.719 90.00 90.00 120.00
Positions (direct):
Ba  0.000  0.500  0.000
Ba  0.173  0.345  0.675
Ba  0.173  0.827  0.675
Ba  0.345  0.173  0.325
Ba  0.500  0.000  0.000
Ba  0.500  0.500  0.000
Ba  0.655  0.827  0.675
Ba  0.827  0.173  0.325
Ba  0.827  0.655  0.325
Pb  0.000  0.000  0.000
Pb  0.333  0.667  0.335
Pb  0.667  0.333  0.665
O  0.333  0.667  0.832
O  0.667  0.333  0.168

=====

(5)
Simulated X-ray powder pattern of BaPm4Pb3O12 for λ = 1.5418 Å (Cu Kα), from a DFT-relaxed cell (GGA-PBE, Alexandria).

Principal peaks in the range 10° ≤ 2θ ≤ 90°, in order of rising 2θ:
d_spacing, I_rel
6.221, 2
3.592, 2
3.110, 100
2.199, 23
1.796, 48
1.555, 14
1.391, 19
1.270, 5
1.176, 23
1.100, 2

Crystal structure
Lattice parameters (Å, degrees): 7.619 7.619 7.619 109.47 109.47 109.47
Positions (direct):
Ba  0.000  0.000  0.000
Pm  0.000  0.000  0.500
Pm  0.000  0.500  0.000
Pm  0.500  0.000  0.000
Pm  0.500  0.500  0.500
Pb  0.000  0.500  0.500
Pb  0.500  0.000  0.500
Pb  0.500  0.500  0.000
O  0.136  0.827  0.309
O  0.173  0.309  0.482
O  0.173  0.691  0.864
O  0.309  0.136  0.827
O  0.309  0.482  0.173
O  0.482  0.173  0.309
O  0.518  0.827  0.691
O  0.691  0.518  0.827
O  0.691  0.864  0.173
O  0.827  0.309  0.136
O  0.827  0.691  0.518
O  0.864  0.173  0.691

=====

(6)
Simulated X-ray powder pattern of Ba4PrPb3O12 for λ = 1.5418 Å (Cu Kα), from a DFT-relaxed cell (GGA-PBE, Alexandria).

Principal peaks in the range 10° ≤ 2θ ≤ 90°, in order of rising 2θ:
d_spacing, I_rel
4.419, 7
3.124, 100
2.209, 28
1.976, 3
1.804, 42
1.562, 18
1.397, 19
1.276, 6
1.181, 23
1.105, 3

Crystal structure
Lattice parameters (Å, degrees): 7.653 7.653 7.653 109.47 109.47 109.47
Positions (direct):
Ba  0.000  0.000  0.500
Ba  0.000  0.500  0.000
Ba  0.500  0.000  0.000
Ba  0.500  0.500  0.500
Pr  0.000  0.000  0.000
Pb  0.000  0.500  0.500
Pb  0.500  0.000  0.500
Pb  0.500  0.500  0.000
O  0.000  0.261  0.261
O  0.000  0.739  0.739
O  0.250  0.500  0.750
O  0.250  0.750  0.500
O  0.261  0.000  0.261
O  0.261  0.261  0.000
O  0.500  0.250  0.750
O  0.500  0.750  0.250
O  0.739  0.000  0.739
O  0.739  0.739  0.000
O  0.750  0.250  0.500
O  0.750  0.500  0.250

=====

(7)
Simulated X-ray powder pattern of Ba2PrPb2O6 for λ = 1.5418 Å (Cu Kα), from a DFT-relaxed cell (GGA-PBE, Alexandria).

Principal peaks in the range 10° ≤ 2θ ≤ 90°, in order of rising 2θ:
d_spacing, I_rel
3.299, 55
3.201, 92
3.169, 30
3.125, 100
2.285, 36
2.190, 16
1.885, 21
1.869, 23
1.824, 25
1.807, 15

Crystal structure
Lattice parameters (Å, degrees): 6.262 6.262 7.393 113.58 113.58 63.58
Positions (direct):
Ba  0.208  0.208  0.132
Ba  0.792  0.792  0.868
Pr  0.000  0.000  0.500
Pb  0.428  0.428  0.757
Pb  0.572  0.572  0.243
O  0.174  0.677  0.222
O  0.224  0.224  0.489
O  0.323  0.826  0.778
O  0.677  0.174  0.222
O  0.776  0.776  0.511
O  0.826  0.323  0.778

=====

(8)
Simulated X-ray powder pattern of RbBa2PbO4 for λ = 1.5418 Å (Cu Kα), from a DFT-relaxed cell (GGA-PBE, Alexandria).

Principal peaks in the range 10° ≤ 2θ ≤ 90°, in order of rising 2θ:
d_spacing, I_rel
3.203, 90
3.164, 87
2.769, 100
2.732, 47
1.976, 18
1.945, 67
1.676, 30
1.660, 28
1.601, 18
1.259, 19

Crystal structure
Lattice parameters (Å, degrees): 7.781 7.781 7.781 120.16 118.94 90.79
Positions (direct):
Rb  0.500  0.000  0.000
Rb  0.500  0.500  0.500
Ba  0.000  0.000  0.000
Ba  0.000  0.000  0.500
Ba  0.000  0.500  0.000
Ba  0.500  0.000  0.500
Pb  0.000  0.500  0.500
Pb  0.500  0.500  0.000
O  0.200  0.717  0.483
O  0.244  0.236  0.492
O  0.244  0.752  0.008
O  0.266  0.283  0.983
O  0.734  0.717  0.017
O  0.756  0.248  0.992
O  0.756  0.764  0.508
O  0.800  0.283  0.517

=====

(9)
Simulated X-ray powder pattern of BaRePb2O6 for λ = 1.5418 Å (Cu Kα), from a DFT-relaxed cell (GGA-PBE, Alexandria).

Principal peaks in the range 10° ≤ 2θ ≤ 90°, in order of rising 2θ:
d_spacing, I_rel
5.345, 25
3.365, 57
3.129, 100
3.067, 92
2.864, 46
2.200, 17
2.181, 40
1.894, 19
1.710, 24
1.680, 22

Crystal structure
Lattice parameters (Å, degrees): 5.729 6.729 10.375 90.00 121.98 90.00
Positions (direct):
Ba  0.000  0.000  0.000
Ba  0.000  0.500  0.500
Re  0.500  0.000  0.500
Re  0.500  0.500  0.000
Pb  0.219  0.046  0.716
Pb  0.219  0.454  0.216
Pb  0.781  0.546  0.784
Pb  0.781  0.954  0.284
O  0.179  0.144  0.484
O  0.179  0.356  0.984
O  0.278  0.727  0.923
O  0.278  0.773  0.423
O  0.397  0.080  0.291
O  0.397  0.420  0.791
O  0.603  0.580  0.209
O  0.603  0.920  0.709
O  0.722  0.227  0.577
O  0.722  0.273  0.077
O  0.821  0.644  0.016
O  0.821  0.856  0.516